# 1
# Cr2CuBiO8
Simulated powder diffractogram, CuKα. Input: a DFT-relaxed cell (PBE+U, Alexandria).
No peak broadening, texture or thermal motion is included.

Main lines, in order of rising 2θ (2θ from 10° to 90°):
- d 5.028, I 24
- d 4.759, I 47
- d 3.555, I 100
- d 2.848, I 22
- d 2.701, I 77
- d 1.840, I 59

abc: 5.961 5.961 5.961
angles: 106.77 106.77 115.02
Element x y z (fractional)
1 Cr 0.000 0.000 0.000
2 Cr 0.750 0.250 0.500
3 Cu 0.500 0.500 0.000
4 Bi 0.250 0.750 0.500
5 O 0.027 0.842 0.185
6 O 0.101 0.413 0.688
7 O 0.158 0.343 0.185
8 O 0.158 0.973 0.815
9 O 0.587 0.276 0.688
10 O 0.587 0.899 0.312
11 O 0.657 0.842 0.815
12 O 0.724 0.413 0.312

---

# 2
# HoCr2BiO6
Simulated powder diffractogram, CuKα. Input: a DFT-relaxed cell (PBE+U, Alexandria).
No peak broadening, texture or thermal motion is included.

Main lines, in order of rising 2θ (2θ from 10° to 90°):
- d 3.923, I 76
- d 2.784, I 100
- d 2.764, I 96
- d 2.259, I 30
- d 1.961, I 48
- d 1.600, I 41

abc: 5.568 5.568 5.568
angles: 59.52 59.52 59.52
Element x y z (fractional)
1 Ho 0.000 0.000 0.000
2 Cr 0.277 0.277 0.277
3 Cr 0.777 0.777 0.777
4 Bi 0.503 0.503 0.503
5 O 0.054 0.630 0.428
6 O 0.110 0.555 0.948
7 O 0.428 0.054 0.630
8 O 0.555 0.948 0.110
9 O 0.630 0.428 0.054
10 O 0.948 0.110 0.555

---

# 3
# CrBiIO6
Simulated powder diffractogram, CuKα. Input: a DFT-relaxed cell (PBE+U, Alexandria).
No peak broadening, texture or thermal motion is included.

Main lines, in order of rising 2θ (2θ from 10° to 90°):
- d 4.607, I 15
- d 3.399, I 100
- d 2.660, I 32
- d 2.095, I 25
- d 1.829, I 34
- d 1.646, I 25

abc: 5.319 5.319 5.036
angles: 90.00 90.00 120.00
Element x y z (fractional)
1 Cr 0.000 0.000 0.000
2 Bi 0.667 0.333 0.485
3 I 0.333 0.667 0.994
4 O 0.018 0.325 0.217
5 O 0.044 0.707 0.779
6 O 0.293 0.337 0.779
7 O 0.307 0.982 0.217
8 O 0.663 0.956 0.779
9 O 0.675 0.693 0.217